Record 1
Starting from DFT lattice parameters and positions (GGA-PBE), the powder XRD pattern of Y2SiOs2 was calculated for λ = 1.5418 Å (Cu Kα).
Kinematic intensities with the Lorentz-polarization factor, no thermal factor.

The 6 most intense peaks (2θ = 15–90°), in order of rising 2θ:
d_spacing  2θ (°)  I (rel.)
4.268  20.8  51
3.707  24.0  41
2.443  36.8  38
2.377  37.9  100
2.305  39.1  30
2.229  40.5  72

Crystal structure
Unit cell a=5.6196 b=5.6196 c=7.5900 alpha=100.66 beta=100.66 gamma=59.96
Atoms (fractional coordinates):
Y 0.0032 0.2877 0.1441
Y 0.2877 0.0032 0.6441
Y 0.7123 0.9968 0.3559
Y 0.9968 0.7123 0.8559
Si 0.4115 0.5885 0.2500
Si 0.5885 0.4115 0.7500
Os 0.2142 0.5117 0.4888
Os 0.4883 0.7858 0.0112
Os 0.5117 0.2142 0.9888
Os 0.7858 0.4883 0.5112

---

Record 2
Starting from DFT lattice parameters and positions (GGA-PBE), the powder XRD pattern of Y5Ga2Sn2 was calculated for λ = 1.5418 Å (Cu Kα).
Kinematic intensities with the Lorentz-polarization factor, no thermal factor.

The 6 most intense peaks (2θ = 15–90°), in order of rising 2θ:
d_spacing  2θ (°)  I (rel.)
2.912  30.7  100
2.801  31.9  96
2.781  32.2  89
2.758  32.5  82
2.622  34.2  93
2.490  36.1  70

Crystal structure
Unit cell a=8.7153 b=8.7153 c=7.8575 alpha=90.00 beta=90.00 gamma=54.57
Atoms (fractional coordinates):
Y 0.0000 0.0000 0.0000
Y 0.0439 0.6898 0.6738
Y 0.1898 0.5439 0.1738
Y 0.3102 0.9561 0.6738
Y 0.4561 0.8102 0.1738
Y 0.5000 0.5000 0.5000
Y 0.5439 0.1898 0.8262
Y 0.6898 0.0439 0.3262
Y 0.8102 0.4561 0.8262
Y 0.9561 0.3102 0.3262
Ga 0.1196 0.8804 0.3793
Ga 0.3804 0.6196 0.8793
Ga 0.6196 0.3804 0.1207
Ga 0.8804 0.1196 0.6207
Sn 0.2102 0.2102 0.0000
Sn 0.2898 0.2898 0.5000
Sn 0.7102 0.7102 0.5000
Sn 0.7898 0.7898 0.0000

---

Record 3
Starting from DFT lattice parameters and positions (GGA-PBE), the powder XRD pattern of Ta2CuAs was calculated for λ = 1.5418 Å (Cu Kα).
Kinematic intensities with the Lorentz-polarization factor, no thermal factor.

The 6 most intense peaks (2θ = 15–90°), in order of rising 2θ:
d_spacing  2θ (°)  I (rel.)
2.668  33.6  17
2.340  38.5  26
2.315  38.9  100
2.017  45.0  16
1.528  60.6  13
1.346  69.9  18

Crystal structure
Unit cell a=2.9363 b=2.9363 c=8.0665 alpha=90.00 beta=90.00 gamma=105.71
Atoms (fractional coordinates):
Ta 0.0000 0.0000 0.0000
Ta 0.5000 0.5000 0.2734
Cu 0.5000 0.5000 0.7535
As 0.0000 0.0000 0.5178

---

Record 4
Starting from DFT lattice parameters and positions (GGA-PBE), the powder XRD pattern of CsHoS2O8 was calculated for λ = 1.5418 Å (Cu Kα).
Kinematic intensities with the Lorentz-polarization factor, no thermal factor.

The 6 most intense peaks (2θ = 15–90°), in order of rising 2θ:
d_spacing  2θ (°)  I (rel.)
4.687  18.9  68
4.143  21.4  25
3.219  27.7  100
2.706  33.1  39
2.071  43.7  31
1.645  55.9  26

Crystal structure
Unit cell a=5.4117 b=5.4117 c=8.8581 alpha=90.00 beta=90.00 gamma=120.00
Atoms (fractional coordinates):
Cs 0.0000 0.0000 0.0000
Ho 0.0000 0.0000 0.5000
S 0.3333 0.6667 0.7115
S 0.6667 0.3333 0.2885
O 0.1335 0.3745 0.6518
O 0.2410 0.8665 0.6518
O 0.3333 0.6667 0.8762
O 0.3745 0.2410 0.3482
O 0.6255 0.7590 0.6518
O 0.6667 0.3333 0.1238
O 0.7590 0.1335 0.3482
O 0.8665 0.6255 0.3482